The following is a simulated PXRD pattern of LuBH4. It was derived from DFT lattice parameters and positions (GGA-PBE), using λ = 1.5418 Å (Cu Kα).
Kinematic intensities with the Lorentz-polarization factor, no thermal factor.

Structural model:
```
data_LuBH4
_cell_length_a 3.961
_cell_length_b 11.664
_cell_length_c 5.547
_cell_angle_alpha 90.00
_cell_angle_beta 90.00
_cell_angle_gamma 90.00
_symmetry_space_group_name_H-M 'I m m 2'
_symmetry_Int_Tables_number 44
_symmetry_space_group_name_Hall 'I 2 -2'
loop_
_atom_site_label
_atom_site_type_symbol
_atom_site_fract_x
_atom_site_fract_y
_atom_site_fract_z
_atom_site_occupancy
Lu1 Lu 0.000 0.000 0.000 1
Lu2 Lu 0.000 0.337 0.007 1
B1 B 0.000 0.000 0.512 1
B2 B 0.000 0.334 0.505 1
H1 H 0.000 0.094 0.645 1
H2 H 0.000 0.240 0.388 1
H3 H 0.000 0.421 0.365 1
H4 H 0.240 0.163 0.139 1
H5 H 0.242 0.500 0.872 1
```

Largest 10 diffraction maxima, in order of falling intensity, 15 to 90 degrees two-theta:
| d_spacing | Position (°2θ) | I/Imax |
| --- | --- | --- |
| 2.774 | 32.27 | 100 |
| 3.223 | 27.67 | 79 |
| 3.184 | 28.03 | 77 |
| 1.962 | 46.28 | 49 |
| 1.682 | 54.57 | 26 |
| 1.665 | 55.18 | 25 |
| 1.241 | 76.84 | 22 |
| 1.612 | 57.15 | 13 |
| 1.676 | 54.79 | 13 |
| 1.670 | 54.99 | 13 |


The following is a simulated PXRD pattern of MgB2H8. It was derived from DFT lattice parameters and positions (GGA-PBE), using λ = 1.5418 Å (Cu Kα).
Kinematic intensities with the Lorentz-polarization factor, no thermal factor.

Structural model:
```
data_MgB2H8
_cell_length_a 10.918
_cell_length_b 11.069
_cell_length_c 12.332
_cell_angle_alpha 90.00
_cell_angle_beta 90.00
_cell_angle_gamma 90.00
_symmetry_space_group_name_H-M 'F d d d'
_symmetry_Int_Tables_number 70
loop_
_symmetry_equiv_pos_as_xyz
'x,y,z'
'-x,-y,-z'
'-x+1/4,-y+1/4,z'
'x+1/4,y+1/4,-z'
'x,-y+1/4,-z+1/4'
'-x,y+1/4,z+1/4'
'-x+1/4,y,-z+1/4'
'x+1/4,-y,z+1/4'
'x,y+1/2,z+1/2'
'-x,-y+1/2,-z+1/2'
'-x+1/4,-y+3/4,z+1/2'
'x+1/4,y+3/4,-z+1/2'
'x,-y+3/4,-z+3/4'
'-x,y+3/4,z+3/4'
'-x+1/4,y+1/2,-z+3/4'
'x+1/4,-y+1/2,z+3/4'
'x+1/2,y,z+1/2'
'-x+1/2,-y,-z+1/2'
'-x+3/4,-y+1/4,z+1/2'
'x+3/4,y+1/4,-z+1/2'
'x+1/2,-y+1/4,-z+3/4'
'-x+1/2,y+1/4,z+3/4'
'-x+3/4,y,-z+3/4'
'x+3/4,-y,z+3/4'
'x+1/2,y+1/2,z'
'-x+1/2,-y+1/2,-z'
'-x+3/4,-y+3/4,z'
'x+3/4,y+3/4,-z'
'x+1/2,-y+3/4,-z+1/4'
'-x+1/2,y+3/4,z+1/4'
'-x+3/4,y+1/2,-z+1/4'
'x+3/4,-y+1/2,z+1/4'
loop_
_atom_site_label
_atom_site_type_symbol
_atom_site_fract_x
_atom_site_fract_y
_atom_site_fract_z
_atom_site_occupancy
Mg1 Mg 0.125 0.125 0.125 1
Mg2 Mg 0.125 0.125 0.625 1
B1 B 0.016 0.264 0.499 1
H1 H 0.002 0.123 0.258 1
H2 H 0.027 0.280 0.083 1
H3 H 0.033 0.285 0.923 1
H4 H 0.123 0.000 0.495 1
```

Largest 10 diffraction maxima, in order of falling intensity, 15 to 90 degrees two-theta:
| d_spacing | Position (°2θ) | I/Imax |
| --- | --- | --- |
| 4.119 | 21.58 | 100 |
| 4.087 | 21.74 | 96 |
| 3.886 | 22.88 | 77 |
| 3.288 | 27.12 | 70 |
| 2.415 | 37.23 | 48 |
| 2.291 | 39.32 | 41 |
| 2.275 | 39.61 | 40 |
| 2.059 | 43.97 | 32 |
| 2.044 | 44.33 | 30 |
| 1.925 | 47.21 | 24 |


The following is a simulated PXRD pattern of MgB2H8. It was derived from DFT lattice parameters and positions (GGA-PBE), using λ = 1.5418 Å (Cu Kα).
Kinematic intensities with the Lorentz-polarization factor, no thermal factor.

Structural model:
```
data_MgB2H8
_cell_length_a 4.312
_cell_length_b 6.097
_cell_length_c 8.391
_cell_angle_alpha 90.00
_cell_angle_beta 90.00
_cell_angle_gamma 90.00
_symmetry_space_group_name_H-M 'P m c 21'
_symmetry_Int_Tables_number 26
_symmetry_space_group_name_Hall 'P 2c -2'
loop_
_atom_site_label
_atom_site_type_symbol
_atom_site_fract_x
_atom_site_fract_y
_atom_site_fract_z
_atom_site_occupancy
Mg1 Mg 0.000 0.198 0.000 1
B1 B 0.000 0.018 0.744 1
B2 B 0.500 0.398 0.978 1
H1 H 0.000 0.083 0.372 1
H2 H 0.000 0.219 0.755 1
H3 H 0.240 0.032 0.176 1
H4 H 0.280 0.442 0.066 1
H5 H 0.500 0.200 0.942 1
H6 H 0.500 0.492 0.359 1
```

Largest 10 diffraction maxima, in order of falling intensity, 15 to 90 degrees two-theta:
| d_spacing | Position (°2θ) | I/Imax |
| --- | --- | --- |
| 4.932 | 17.98 | 100 |
| 3.520 | 25.30 | 31 |
| 4.312 | 20.60 | 21 |
| 4.195 | 21.18 | 19 |
| 3.246 | 27.48 | 18 |
| 2.141 | 42.22 | 15 |
| 2.542 | 35.31 | 14 |
| 2.386 | 37.70 | 12 |
| 1.975 | 45.94 | 12 |
| 2.466 | 36.43 | 10 |


Please write out number 3 again, unchanged.
The following is a simulated PXRD pattern of MgB2H8. It was derived from DFT lattice parameters and positions (GGA-PBE), using λ = 1.5418 Å (Cu Kα).
Kinematic intensities with the Lorentz-polarization factor, no thermal factor.

Structural model:
```
data_MgB2H8
_cell_length_a 4.312
_cell_length_b 6.097
_cell_length_c 8.391
_cell_angle_alpha 90.00
_cell_angle_beta 90.00
_cell_angle_gamma 90.00
_symmetry_space_group_name_H-M 'P m c 21'
_symmetry_Int_Tables_number 26
_symmetry_space_group_name_Hall 'P 2c -2'
loop_
_atom_site_label
_atom_site_type_symbol
_atom_site_fract_x
_atom_site_fract_y
_atom_site_fract_z
_atom_site_occupancy
Mg1 Mg 0.000 0.198 0.000 1
B1 B 0.000 0.018 0.744 1
B2 B 0.500 0.398 0.978 1
H1 H 0.000 0.083 0.372 1
H2 H 0.000 0.219 0.755 1
H3 H 0.240 0.032 0.176 1
H4 H 0.280 0.442 0.066 1
H5 H 0.500 0.200 0.942 1
H6 H 0.500 0.492 0.359 1
```

Largest 10 diffraction maxima, in order of falling intensity, 15 to 90 degrees two-theta:
| d_spacing | Position (°2θ) | I/Imax |
| --- | --- | --- |
| 4.932 | 17.98 | 100 |
| 3.520 | 25.30 | 31 |
| 4.312 | 20.60 | 21 |
| 4.195 | 21.18 | 19 |
| 3.246 | 27.48 | 18 |
| 2.141 | 42.22 | 15 |
| 2.542 | 35.31 | 14 |
| 2.386 | 37.70 | 12 |
| 1.975 | 45.94 | 12 |
| 2.466 | 36.43 | 10 |